No. 1
Starting from a crystal structure in Alexandria, relaxed with PBE, the powder diffractogram of PmPr4Se7 was computed for Cu Kα (λ = 1.5418 Å).
Lines closer than 0.1° are merged.

Main lines, low angle first (5 to 70 degrees two-theta):
- 2θ 22.03, intensity 78
- 2θ 22.50, intensity 85
- 2θ 28.96, intensity 100
- 2θ 30.46, intensity 96
- 2θ 31.48, intensity 69
- 2θ 35.90, intensity 46
- 2θ 38.70, intensity 49
- 2θ 42.16, intensity 49
- 2θ 43.45, intensity 54
- 2θ 43.78, intensity 58

Atomic structure:
a = 13.982 Å, b = 4.136 Å, c = 12.574 Å
α = 90.00°, β = 104.83°, γ = 90.00°
Space group Cm (No. 8)
One atom of each set of equivalent atoms:
Pm: 0.000 0.000 0.000 (multiplicity 2)
Pr: 0.113 0.000 0.421 (multiplicity 2)
Pr: 0.225 0.000 0.845 (multiplicity 2)
Pr: 0.313 0.500 0.232 (multiplicity 2)
Pr: 0.414 0.000 0.613 (multiplicity 2)
Se: 0.072 0.000 0.638 (multiplicity 2)
Se: 0.110 0.500 0.923 (multiplicity 2)
Se: 0.153 0.000 0.204 (multiplicity 2)
Se: 0.273 0.500 0.472 (multiplicity 2)
Se: 0.354 0.500 0.775 (multiplicity 2)
Se: 0.375 0.000 0.071 (multiplicity 2)
Se: 0.452 0.000 0.372 (multiplicity 2)

No. 2
Starting from a crystal structure in Alexandria, relaxed with PBE, the powder diffractogram of Na4Hg3Au was computed for Cu Kα (λ = 1.5418 Å).
Lines closer than 0.1° are merged.

Main lines, low angle first (5 to 70 degrees two-theta):
- 2θ 24.18, intensity 100
- 2θ 34.39, intensity 69
- 2θ 34.52, intensity 67
- 2θ 42.48, intensity 24
- 2θ 42.71, intensity 8
- 2θ 49.53, intensity 24
- 2θ 55.76, intensity 22
- 2θ 55.94, intensity 22
- 2θ 61.66, intensity 38
- 2θ 61.94, intensity 12

Atomic structure:
a = 5.2153 Å, b = 5.2153 Å, c = 25.4073 Å
α = 90.00°, β = 90.00°, γ = 120.00°
Space group R-3m (No. 166, hexagonal axes)
One atom of each set of equivalent atoms:
Na: 0.0000 0.0000 0.1200 (multiplicity 6)
Na: 0.0000 0.0000 0.3703 (multiplicity 6)
Hg: 0.0000 0.0000 0.2473 (multiplicity 6)
Hg: 0.0000 0.0000 0.5000 (multiplicity 3)
Au: 0.0000 0.0000 0.0000 (multiplicity 3)

No. 3
Starting from a crystal structure in Alexandria, relaxed with PBE, the powder diffractogram of LaNd2Rh2 was computed for Cu Kα (λ = 1.5418 Å).
Lines closer than 0.1° are merged.

Main lines, low angle first (5 to 70 degrees two-theta):
- 2θ 29.56, intensity 100
- 2θ 29.93, intensity 73
- 2θ 31.23, intensity 90
- 2θ 34.87, intensity 73
- 2θ 35.42, intensity 65
- 2θ 44.06, intensity 44
- 2θ 44.28, intensity 33
- 2θ 45.42, intensity 39
- 2θ 55.15, intensity 42
- 2θ 65.14, intensity 29

Atomic structure:
a = 3.994 Å, b = 13.489 Å, c = 10.140 Å
α = 90.00°, β = 90.00°, γ = 90.00°
Space group Cmcm (No. 63)
One atom of each set of equivalent atoms:
La: 0.000 0.095 0.250 (multiplicity 4)
Nd: 0.000 0.355 0.069 (multiplicity 8)
Rh: 0.000 0.000 0.000 (multiplicity 4)
Rh: 0.000 0.253 0.750 (multiplicity 4)

No. 4
Starting from a crystal structure in Alexandria, relaxed with PBE, the powder diffractogram of NdTh4O10 was computed for Cu Kα (λ = 1.5418 Å).
Lines closer than 0.1° are merged.

Main lines, low angle first (5 to 70 degrees two-theta):
- 2θ 5.44, intensity 4
- 2θ 10.89, intensity 1
- 2θ 16.37, intensity 1
- 2θ 27.45, intensity 100
- 2θ 31.80, intensity 36
- 2θ 45.59, intensity 51
- 2θ 54.05, intensity 48
- 2θ 56.66, intensity 10
- 2θ 66.46, intensity 8

Atomic structure:
a = 3.9794 Å, b = 3.9794 Å, c = 48.7303 Å
α = 90.00°, β = 90.00°, γ = 120.00°
Space group R-3m (No. 166, hexagonal axes)
One atom of each set of equivalent atoms:
Nd: 0.0000 0.0000 0.0000 (multiplicity 3)
Th: 0.0000 0.0000 0.2000 (multiplicity 6)
Th: 0.0000 0.0000 0.3999 (multiplicity 6)
O: 0.0000 0.0000 0.0515 (multiplicity 6)
O: 0.0000 0.0000 0.1500 (multiplicity 6)
O: 0.0000 0.0000 0.2495 (multiplicity 6)
O: 0.0000 0.0000 0.3513 (multiplicity 6)
O: 0.0000 0.0000 0.4503 (multiplicity 6)

No. 5
Starting from a crystal structure in Alexandria, relaxed with PBE, the powder diffractogram of NaSr5Se6 was computed for Cu Kα (λ = 1.5418 Å).
Lines closer than 0.1° are merged.

Main lines, low angle first (5 to 70 degrees two-theta):
- 2θ 12.22, intensity 1
- 2θ 13.29, intensity 1
- 2θ 13.91, intensity 2
- 2θ 15.61, intensity 1
- 2θ 18.09, intensity 1
- 2θ 28.45, intensity 100
- 2θ 40.66, intensity 75
- 2θ 50.37, intensity 27
- 2θ 58.86, intensity 12
- 2θ 66.65, intensity 34

Atomic structure:
a = 7.685 Å, b = 13.320 Å, c = 7.682 Å
α = 90.00°, β = 109.47°, γ = 90.00°
Space group C2/m (No. 12)
One atom of each set of equivalent atoms:
Na: 0.000 0.000 0.000 (multiplicity 2)
Sr: 0.000 0.165 0.500 (multiplicity 4)
Sr: 0.000 0.333 0.000 (multiplicity 4)
Sr: 0.000 0.500 0.500 (multiplicity 2)
Se: 0.248 0.332 0.748 (multiplicity 8)
Se: 0.248 0.500 0.250 (multiplicity 4)

No. 6
Starting from a crystal structure in Alexandria, relaxed with PBE, the powder diffractogram of Be3P5 was computed for Cu Kα (λ = 1.5418 Å).
Lines closer than 0.1° are merged.

Main lines, low angle first (5 to 70 degrees two-theta):
- 2θ 16.95, intensity 14
- 2θ 29.77, intensity 15
- 2θ 31.15, intensity 48
- 2θ 34.27, intensity 47
- 2θ 43.62, intensity 100
- 2θ 46.02, intensity 12
- 2θ 53.32, intensity 15
- 2θ 61.82, intensity 8
- 2θ 64.93, intensity 13
- 2θ 67.87, intensity 20

Atomic structure:
a = 6.003 Å, b = 10.467 Å, c = 3.436 Å
α = 90.00°, β = 90.00°, γ = 90.00°
Space group Cmmm (No. 65)
One atom of each set of equivalent atoms:
Be: 0.000 0.000 0.000 (multiplicity 2)
Be: 0.000 0.174 0.500 (multiplicity 4)
P: 0.000 0.500 0.000 (multiplicity 2)
P: 0.226 0.000 0.500 (multiplicity 4)
P: 0.250 0.250 0.000 (multiplicity 4)

No. 7
Starting from a crystal structure in Alexandria, relaxed with PBE, the powder diffractogram of TiZnF5 was computed for Cu Kα (λ = 1.5418 Å).
Lines closer than 0.1° are merged.

Main lines, low angle first (5 to 70 degrees two-theta):
- 2θ 24.19, intensity 22
- 2θ 25.00, intensity 100
- 2θ 25.79, intensity 16
- 2θ 26.69, intensity 12
- 2θ 30.91, intensity 20
- 2θ 33.68, intensity 14
- 2θ 44.43, intensity 8
- 2θ 47.06, intensity 9
- 2θ 51.31, intensity 18
- 2θ 51.95, intensity 12

Atomic structure:
a = 5.526 Å, b = 10.029 Å, c = 7.739 Å
α = 90.00°, β = 113.74°, γ = 90.00°
Space group P2_1/c (No. 14)
One atom of each set of equivalent atoms:
Ti: 0.037 0.242 0.416 (multiplicity 4)
Zn: 0.469 0.011 0.279 (multiplicity 4)
F: 0.043 0.210 0.671 (multiplicity 4)
F: 0.189 0.587 0.186 (multiplicity 4)
F: 0.285 0.116 0.039 (multiplicity 4)
F: 0.287 0.649 0.651 (multiplicity 4)
F: 0.344 0.105 0.462 (multiplicity 4)

No. 8
Starting from a crystal structure in Alexandria, relaxed with PBE, the powder diffractogram of Sn3PbAu4 was computed for Cu Kα (λ = 1.5418 Å).
Lines closer than 0.1° are merged.

Main lines, low angle first (5 to 70 degrees two-theta):
- 2θ 25.39, intensity 1
- 2θ 26.15, intensity 4
- 2θ 30.91, intensity 100
- 2θ 32.78, intensity 2
- 2θ 42.89, intensity 41
- 2θ 45.63, intensity 35
- 2θ 53.80, intensity 21
- 2θ 58.40, intensity 6
- 2θ 64.37, intensity 8
- 2θ 64.49, intensity 4

Atomic structure:
a = 11.598 Å, b = 8.437 Å, c = 3.992 Å
α = 90.00°, β = 94.64°, γ = 90.00°
Space group C2/m (No. 12)
One atom of each set of equivalent atoms:
Sn: 0.000 0.000 0.000 (multiplicity 2)
Sn: 0.250 0.250 0.500 (multiplicity 4)
Pb: 0.000 0.500 0.000 (multiplicity 2)
Au: 0.000 0.238 0.500 (multiplicity 4)
Au: 0.244 0.000 0.998 (multiplicity 4)

No. 9
Starting from a crystal structure in Alexandria, relaxed with PBE, the powder diffractogram of NaMg2Zn9 was computed for Cu Kα (λ = 1.5418 Å).
Lines closer than 0.1° are merged.

Main lines, low angle first (5 to 70 degrees two-theta):
- 2θ 19.82, intensity 67
- 2θ 20.85, intensity 12
- 2θ 39.77, intensity 21
- 2θ 40.32, intensity 100
- 2θ 42.16, intensity 14
- 2θ 42.44, intensity 31
- 2θ 43.54, intensity 53
- 2θ 43.74, intensity 17
- 2θ 47.06, intensity 31
- 2θ 65.29, intensity 22

Atomic structure:
a = 5.2546 Å, b = 5.2546 Å, c = 25.5593 Å
α = 90.00°, β = 90.00°, γ = 120.00°
Space group R-3m (No. 166, hexagonal axes)
One atom of each set of equivalent atoms:
Na: 0.0000 0.0000 0.0000 (multiplicity 3)
Mg: 0.0000 0.0000 0.1429 (multiplicity 6)
Zn: 0.0000 0.0000 0.3338 (multiplicity 6)
Zn: 0.0000 0.0000 0.5000 (multiplicity 3)
Zn: 0.0046 0.5023 0.9151 (multiplicity 18)

No. 10
Starting from a crystal structure in Alexandria, relaxed with PBE, the powder diffractogram of Li4TmPb2 was computed for Cu Kα (λ = 1.5418 Å).
Lines closer than 0.1° are merged.

Main lines, low angle first (5 to 70 degrees two-theta):
- 2θ 11.44, intensity 48
- 2θ 22.80, intensity 26
- 2θ 26.45, intensity 100
- 2θ 34.66, intensity 27
- 2θ 37.62, intensity 49
- 2θ 37.87, intensity 34
- 2θ 39.45, intensity 15
- 2θ 46.58, intensity 22
- 2θ 48.43, intensity 14
- 2θ 61.35, intensity 20

Atomic structure:
a = 4.7816 Å, b = 4.7816 Å, c = 23.2026 Å
α = 90.00°, β = 90.00°, γ = 120.00°
Space group R-3m (No. 166, hexagonal axes)
One atom of each set of equivalent atoms:
Li: 0.0000 0.0000 0.0810 (multiplicity 6)
Li: 0.0000 0.0000 0.3634 (multiplicity 6)
Tm: 0.0000 0.0000 0.5000 (multiplicity 3)
Pb: 0.0000 0.0000 0.2377 (multiplicity 6)

No. 11
Starting from a crystal structure in Alexandria, relaxed with PBE, the powder diffractogram of Np2TaH6 was computed for Cu Kα (λ = 1.5418 Å).
Lines closer than 0.1° are merged.

Main lines, low angle first (5 to 70 degrees two-theta):
- 2θ 21.42, intensity 18
- 2θ 24.78, intensity 23
- 2θ 35.33, intensity 100
- 2θ 41.68, intensity 10
- 2θ 43.63, intensity 8
- 2θ 50.82, intensity 19
- 2θ 55.76, intensity 4
- 2θ 57.34, intensity 10
- 2θ 63.41, intensity 38
- 2θ 67.76, intensity 3

Atomic structure:
a = 7.186 Å, b = 7.186 Å, c = 7.186 Å
α = 90.00°, β = 90.00°, γ = 90.00°
Space group Fm-3m (No. 225)
One atom of each set of equivalent atoms:
Np: 0.250 0.250 0.250 (multiplicity 8)
Ta: 0.000 0.000 0.000 (multiplicity 4)
H: 0.000 0.000 0.267 (multiplicity 24)

No. 12
Starting from a crystal structure in Alexandria, relaxed with PBE, the powder diffractogram of Pm2NdHoTm was computed for Cu Kα (λ = 1.5418 Å).
Lines closer than 0.1° are merged.

Main lines, low angle first (5 to 70 degrees two-theta):
- 2θ 21.07, intensity 20
- 2θ 26.14, intensity 47
- 2θ 27.82, intensity 31
- 2θ 29.01, intensity 52
- 2θ 30.88, intensity 61
- 2θ 32.53, intensity 100
- 2θ 32.78, intensity 29
- 2θ 35.56, intensity 50
- 2θ 39.66, intensity 36
- 2θ 45.47, intensity 69

Atomic structure:
a = 8.434 Å, b = 11.582 Å, c = 7.267 Å
α = 90.00°, β = 90.00°, γ = 90.00°
Space group Cmcm (No. 63)
One atom of each set of equivalent atoms:
Pm: 0.192 0.000 0.000 (multiplicity 8)
Nd: 0.000 0.227 0.250 (multiplicity 4)
Ho: 0.000 0.494 0.250 (multiplicity 4)
Tm: 0.000 0.229 0.750 (multiplicity 4)